The following is a simulated X-ray powder pattern of UGa3Ni. It was derived from a cell relaxed with PBE, using Cu Kα (weighted mean of Kα1 and Kα2).

The 8 most intense peaks (5 to 70 degrees two-theta), sorted by position:
(1 0 1), 3.857 Å, intensity 23.1
(1 1 0), 2.944 Å, intensity 19.6
(1 0 3), 2.638 Å, intensity 51.1
(1 1 2), 2.552 Å, intensity 100.0
(2 0 0), 2.082 Å, intensity 40.7
(1 0 5), 1.836 Å, intensity 22.7
(2 1 3), 1.634 Å, intensity 24.5
(2 1 5), 1.377 Å, intensity 17.9

Atomic structure:
a = 4.1639 Å, b = 4.1639 Å, c = 10.2302 Å
α = 90.00°, β = 90.00°, γ = 90.00°
Space group I4mm (No. 107)
Asymmetric unit:
U1 0.0000 0.0000 0.0000 x2
Ga1 0.0000 0.0000 0.4153 x2
Ga2 0.0000 0.5000 0.2518 x4
Ni1 0.0000 0.0000 0.6396 x2

The following is a simulated X-ray powder pattern of UGa5Ni. It was derived from a cell relaxed with PBE, using Cu Kα (weighted mean of Kα1 and Kα2).

The 8 most intense peaks (5 to 70 degrees two-theta), sorted by position:
(0 0 1), 6.802 Å, intensity 18.3
(1 0 0), 4.253 Å, intensity 35.2
(1 1 1), 2.750 Å, intensity 55.7
(1 0 2), 2.656 Å, intensity 21.7
(0 0 3), 2.267 Å, intensity 17.3
(1 1 2), 2.253 Å, intensity 100.0
(2 0 0), 2.126 Å, intensity 52.1
(2 0 3), 1.551 Å, intensity 21.1

Atomic structure:
a = 4.2529 Å, b = 4.2529 Å, c = 6.8016 Å
α = 90.00°, β = 90.00°, γ = 90.00°
Space group P4/mmm (No. 123)
Asymmetric unit:
U1 0.0000 0.0000 0.0000 x1
Ga1 0.0000 0.5000 0.3048 x4
Ga2 0.5000 0.5000 0.0000 x1
Ni1 0.0000 0.0000 0.5000 x1

The following is a simulated X-ray powder pattern of U4Ga20Ni11. It was derived from a cell relaxed with PBE, using Cu Kα (weighted mean of Kα1 and Kα2).

The 8 most intense peaks (5 to 70 degrees two-theta), sorted by position:
(1 1 -4), 2.655 Å, intensity 39.7
(3 1 -5), 2.441 Å, intensity 34.9
(5 1 -5), 2.426 Å, intensity 72.2
(5 1 1), 2.374 Å, intensity 93.1
(7 1 -2), 2.368 Å, intensity 59.3
(7 1 -4), 2.358 Å, intensity 51.9
(1 1 4), 2.331 Å, intensity 88.3
(0 2 0), 2.061 Å, intensity 100.0

Atomic structure:
a = 20.7402 Å, b = 4.1224 Å, c = 15.3220 Å
α = 90.00°, β = 124.63°, γ = 90.00°
Space group Cm (No. 8)
Asymmetric unit:
U1 0.0000 0.0000 0.0000 x2
U2 0.0450 0.5000 0.3550 x2
U3 0.1543 0.5000 0.8472 x2
U4 0.3861 0.5000 0.5086 x2
Ga1 0.0207 0.5000 0.8799 x2
Ga2 0.0248 0.0000 0.4756 x2
Ga3 0.0712 0.0000 0.6766 x2
Ga4 0.0754 0.5000 0.1754 x2
Ga5 0.1460 0.0000 0.9844 x2
Ga6 0.1625 0.0000 0.4857 x2
Ga7 0.1629 0.5000 0.6285 x2
Ga8 0.1726 0.0000 0.1815 x2
Ga9 0.2075 0.5000 0.3809 x2
Ga10 0.2274 0.0000 0.8005 x2
Ga11 0.2682 0.5000 0.0879 x2
Ga12 0.2783 0.5000 0.2661 x2
Ga13 0.3131 0.0000 0.5552 x2
Ga14 0.3376 0.5000 0.9718 x2
Ga15 0.3734 0.0000 0.1728 x2
Ga16 0.3821 0.0000 0.8677 x2
Ga17 0.3825 0.5000 0.7262 x2
Ga18 0.4003 0.0000 0.3726 x2
Ga19 0.4702 0.5000 0.1803 x2
Ga20 0.4744 0.0000 0.6780 x2
Ni1 0.0202 0.0000 0.7906 x2
Ni2 0.0257 0.5000 0.5638 x2
Ni3 0.1173 0.0000 0.2905 x2
Ni4 0.1389 0.5000 0.0711 x2
Ni5 0.2484 0.5000 0.5650 x2
Ni6 0.2672 0.0000 0.9860 x2
Ni7 0.2702 0.0000 0.6779 x2
Ni8 0.2783 0.0000 0.3680 x2
Ni9 0.2965 0.5000 0.7885 x2
Ni10 0.4062 0.5000 0.2839 x2
Ni11 0.4290 0.0000 0.0641 x2

The following is a simulated X-ray powder pattern of VGaNi6. It was derived from a cell relaxed with PBE, using Cu Kα (weighted mean of Kα1 and Kα2).

The 4 most intense peaks (5 to 70 degrees two-theta), sorted by position:
(1 0 1), 3.184 Å, intensity 0.7
(0 0 3), 2.373 Å, intensity 1.3
(1 1 2), 2.055 Å, intensity 100.0
(2 0 0), 1.780 Å, intensity 46.5

Atomic structure:
a = 3.5606 Å, b = 3.5606 Å, c = 7.1138 Å
α = 90.00°, β = 90.00°, γ = 90.00°
Space group P4/mmm (No. 123)
Asymmetric unit:
V1 0.0000 0.0000 0.0000 x1
Ga1 0.0000 0.0000 0.5000 x1
Ni1 0.0000 0.5000 0.2423 x4
Ni2 0.5000 0.5000 0.0000 x1
Ni3 0.5000 0.5000 0.5000 x1

The following is a simulated X-ray powder pattern of Y3Ga8Ni3. It was derived from a cell relaxed with PBE, using Cu Kα (weighted mean of Kα1 and Kα2).

The 8 most intense peaks (5 to 70 degrees two-theta), sorted by position:
(3 1 -3), 2.530 Å, intensity 25.3
(1 1 2), 2.508 Å, intensity 100.0
(5 1 -2), 2.485 Å, intensity 87.2
(4 0 -4), 2.391 Å, intensity 22.1
(5 1 -3), 2.332 Å, intensity 15.1
(0 2 0), 2.080 Å, intensity 51.7
(6 0 0), 2.061 Å, intensity 40.6
(6 2 0), 1.464 Å, intensity 26.1

Atomic structure:
a = 15.5205 Å, b = 4.1607 Å, c = 9.5597 Å
α = 90.00°, β = 127.16°, γ = 90.00°
Space group Cm (No. 8)
Asymmetric unit:
Y1 0.0000 0.0000 0.0000 x2
Y2 0.1212 0.5000 0.6199 x2
Y3 0.2984 0.0000 0.2900 x2
Ga1 0.1492 0.0000 0.4100 x2
Ga2 0.1538 0.0000 0.8870 x2
Ga3 0.3039 0.5000 0.5855 x2
Ga4 0.3064 0.5000 0.0230 x2
Ga5 0.3071 0.0000 0.8029 x2
Ga6 0.4631 0.5000 0.5632 x2
Ga7 0.4648 0.0000 0.7350 x2
Ga8 0.4671 0.0000 0.1986 x2
Ni1 0.1473 0.5000 0.0137 x2
Ni2 0.1524 0.5000 0.2776 x2
Ni3 0.4649 0.5000 0.3199 x2

The following is a simulated X-ray powder pattern of YGaNi. It was derived from a cell relaxed with PBE, using Cu Kα (weighted mean of Kα1 and Kα2).

The 8 most intense peaks (5 to 70 degrees two-theta), sorted by position:
(1 1 2), 2.592 Å, intensity 51.1
(2 1 1), 2.533 Å, intensity 100.0
(2 0 2), 2.517 Å, intensity 37.4
(3 0 1), 2.200 Å, intensity 28.7
(0 2 0), 2.157 Å, intensity 43.0
(0 1 3), 2.128 Å, intensity 56.8
(2 2 2), 1.638 Å, intensity 22.1
(3 1 4), 1.362 Å, intensity 23.2

Atomic structure:
a = 6.9184 Å, b = 4.3147 Å, c = 7.3387 Å
α = 90.00°, β = 90.00°, γ = 90.00°
Space group Pnma (No. 62)
Asymmetric unit:
Y1 0.0164 0.2500 0.1992 x4
Ga1 0.1821 0.2500 0.5805 x4
Ni1 0.2070 0.7500 0.4093 x4